La3Tb12Ce: theoretical X-ray diffraction stick pattern (CuKα), based on a cell relaxed with GGA-PBE.
Lines closer than 0.1° are merged.

Cell and atoms:
```
data_La3Tb12Ce
_chemical_formula_sum 'La3 Tb12 Ce1'
_cell_length_a 5.087
_cell_length_b 5.087
_cell_length_c 20.323
_cell_angle_alpha 90.00
_cell_angle_beta 90.00
_cell_angle_gamma 90.00
_space_group_name_H-M_alt 'P 4/m m m'
_space_group_IT_number 123
_space_group_name_Hall '-P 4 2'
loop_
_atom_site_label
_atom_site_type_symbol
_atom_site_fract_x
_atom_site_fract_y
_atom_site_fract_z
_atom_site_occupancy
La1 La 0.000 0.000 0.000 1
La2 La 0.000 0.000 0.252 1
Tb1 Tb 0.000 0.500 0.126 1
Tb2 Tb 0.000 0.500 0.379 1
Tb3 Tb 0.500 0.500 0.000 1
Tb4 Tb 0.500 0.500 0.252 1
Tb5 Tb 0.500 0.500 0.500 1
Ce1 Ce 0.000 0.000 0.500 1
```

The 6 most intense peaks (2θ = 10–90°), sorted by position:
| 2theta | intensity | h k l |
| --- | --- | --- |
| 30.45 | 100 | 1 1 4 |
| 35.30 | 51 | 2 0 0 |
| 50.79 | 36 | 2 2 0 |
| 60.38 | 43 | 3 1 4 |
| 82.73 | 17 | 3 3 4 |
| 85.38 | 16 | 4 2 0 |

AcPm15Dy4: theoretical X-ray diffraction stick pattern (CuKα), based on a cell relaxed with GGA-PBE.
Lines closer than 0.1° are merged.

Cell and atoms:
```
data_AcPm15Dy4
_chemical_formula_sum 'Ac1 Pm15 Dy4'
_cell_length_a 5.158
_cell_length_b 5.158
_cell_length_c 25.757
_cell_angle_alpha 90.00
_cell_angle_beta 90.00
_cell_angle_gamma 90.00
_space_group_name_H-M_alt 'P 4/m m m'
_space_group_IT_number 123
_space_group_name_Hall '-P 4 2'
loop_
_atom_site_label
_atom_site_type_symbol
_atom_site_fract_x
_atom_site_fract_y
_atom_site_fract_z
_atom_site_occupancy
Ac1 Ac 0.000 0.000 0.000 1
Pm1 Pm 0.000 0.500 0.105 1
Pm2 Pm 0.000 0.500 0.302 1
Pm3 Pm 0.000 0.500 0.500 1
Pm4 Pm 0.500 0.500 0.000 1
Pm5 Pm 0.500 0.500 0.205 1
Pm6 Pm 0.500 0.500 0.401 1
Dy1 Dy 0.000 0.000 0.203 1
Dy2 Dy 0.000 0.000 0.401 1
```

The 6 most intense peaks (2θ = 10–90°), sorted by position:
| 2theta | intensity | h k l |
| --- | --- | --- |
| 30.02 | 100 | 1 1 5 |
| 34.80 | 51 | 2 0 0 |
| 50.04 | 36 | 2 2 0 |
| 59.46 | 42 | 3 1 5 |
| 62.39 | 12 | 2 2 10 |
| 81.37 | 11 | 3 1 15 |

Pm3Tm2: theoretical X-ray diffraction stick pattern (CuKα), based on a cell relaxed with GGA-PBE.
Lines closer than 0.1° are merged.

Cell and atoms:
```
data_Pm3Tm2
_chemical_formula_sum 'Pm12 Tm8'
_cell_length_a 6.512
_cell_length_b 16.248
_cell_length_c 6.213
_cell_angle_alpha 90.00
_cell_angle_beta 90.00
_cell_angle_gamma 90.00
_space_group_name_H-M_alt 'I b a m'
_space_group_IT_number 72
_space_group_name_Hall '-I 2 2c'
loop_
_atom_site_label
_atom_site_type_symbol
_atom_site_fract_x
_atom_site_fract_y
_atom_site_fract_z
_atom_site_occupancy
Pm1 Pm 0.000 0.000 0.250 1
Pm2 Pm 0.106 0.402 0.000 1
Tm1 Tm 0.134 0.194 0.000 1
```

The 6 most intense peaks (2θ = 10–90°), sorted by position:
| 2theta | intensity | h k l |
| --- | --- | --- |
| 28.74 | 31 | 0 0 2 |
| 29.63 | 74 | 1 4 1 |
| 30.76 | 100 | 1 5 0 |
| 31.51 | 96 | 2 1 1 |
| 32.40 | 26 | 1 1 2 |
| 38.82 | 23 | 1 6 1 |

AlIr2BrN: theoretical X-ray diffraction stick pattern (CuKα), based on a cell relaxed with GGA-PBE.
Lines closer than 0.1° are merged.

Cell and atoms:
```
data_AlIr2BrN
_chemical_formula_sum 'Al1 Ir2 Br1 N1'
_cell_length_a 4.589
_cell_length_b 4.589
_cell_length_c 4.886
_cell_angle_alpha 90.00
_cell_angle_beta 90.00
_cell_angle_gamma 90.00
_space_group_name_H-M_alt 'P 4/m m m'
_space_group_IT_number 123
_space_group_name_Hall '-P 4 2'
loop_
_atom_site_label
_atom_site_type_symbol
_atom_site_fract_x
_atom_site_fract_y
_atom_site_fract_z
_atom_site_occupancy
Al1 Al 0.000 0.000 0.000 1
Ir1 Ir 0.000 0.500 0.500 1
Br1 Br 0.000 0.000 0.500 1
N1 N 0.500 0.500 0.000 1
```

The 6 most intense peaks (2θ = 10–90°), sorted by position:
| 2theta | intensity | h k l |
| --- | --- | --- |
| 18.15 | 100 | 0 0 1 |
| 27.49 | 27 | 1 1 0 |
| 33.14 | 60 | 1 1 1 |
| 39.27 | 42 | 2 0 0 |
| 43.58 | 44 | 2 0 1 |
| 54.90 | 31 | 2 0 2 |

Please write out number 3 again, unchanged.
Pm3Tm2: theoretical X-ray diffraction stick pattern (CuKα), based on a cell relaxed with GGA-PBE.
Lines closer than 0.1° are merged.

Cell and atoms:
```
data_Pm3Tm2
_chemical_formula_sum 'Pm12 Tm8'
_cell_length_a 6.512
_cell_length_b 16.248
_cell_length_c 6.213
_cell_angle_alpha 90.00
_cell_angle_beta 90.00
_cell_angle_gamma 90.00
_space_group_name_H-M_alt 'I b a m'
_space_group_IT_number 72
_space_group_name_Hall '-I 2 2c'
loop_
_atom_site_label
_atom_site_type_symbol
_atom_site_fract_x
_atom_site_fract_y
_atom_site_fract_z
_atom_site_occupancy
Pm1 Pm 0.000 0.000 0.250 1
Pm2 Pm 0.106 0.402 0.000 1
Tm1 Tm 0.134 0.194 0.000 1
```

The 6 most intense peaks (2θ = 10–90°), sorted by position:
| 2theta | intensity | h k l |
| --- | --- | --- |
| 28.74 | 31 | 0 0 2 |
| 29.63 | 74 | 1 4 1 |
| 30.76 | 100 | 1 5 0 |
| 31.51 | 96 | 2 1 1 |
| 32.40 | 26 | 1 1 2 |
| 38.82 | 23 | 1 6 1 |

What did the second record say?
AcPm15Dy4: theoretical X-ray diffraction stick pattern (CuKα), based on a cell relaxed with GGA-PBE.
Lines closer than 0.1° are merged.

Cell and atoms:
```
data_AcPm15Dy4
_chemical_formula_sum 'Ac1 Pm15 Dy4'
_cell_length_a 5.158
_cell_length_b 5.158
_cell_length_c 25.757
_cell_angle_alpha 90.00
_cell_angle_beta 90.00
_cell_angle_gamma 90.00
_space_group_name_H-M_alt 'P 4/m m m'
_space_group_IT_number 123
_space_group_name_Hall '-P 4 2'
loop_
_atom_site_label
_atom_site_type_symbol
_atom_site_fract_x
_atom_site_fract_y
_atom_site_fract_z
_atom_site_occupancy
Ac1 Ac 0.000 0.000 0.000 1
Pm1 Pm 0.000 0.500 0.105 1
Pm2 Pm 0.000 0.500 0.302 1
Pm3 Pm 0.000 0.500 0.500 1
Pm4 Pm 0.500 0.500 0.000 1
Pm5 Pm 0.500 0.500 0.205 1
Pm6 Pm 0.500 0.500 0.401 1
Dy1 Dy 0.000 0.000 0.203 1
Dy2 Dy 0.000 0.000 0.401 1
```

The 6 most intense peaks (2θ = 10–90°), sorted by position:
| 2theta | intensity | h k l |
| --- | --- | --- |
| 30.02 | 100 | 1 1 5 |
| 34.80 | 51 | 2 0 0 |
| 50.04 | 36 | 2 2 0 |
| 59.46 | 42 | 3 1 5 |
| 62.39 | 12 | 2 2 10 |
| 81.37 | 11 | 3 1 15 |